(1)
Structure and calculated XRD peak list of AlCrFeO4 (a cell relaxed with GGA+U; Cu Kα (λ = 1.5418 Å)).
Lines closer than 0.1° are merged.

Top 10 peaks for 5° ≤ 2θ ≤ 70°, in order of falling intensity:
2theta, I_rel
35.1, 100.0
35.6, 72.5
30.2, 68.9
62.7, 68.6
35.8, 59.9
30.4, 34.9
57.1, 29.8
56.5, 26.2
42.9, 21.7
61.3, 18.2

Structural model:
```
AlCrFeO4
1.0
-2.9362 3.0223 4.1667
2.9362 -3.0223 4.1667
2.9362 3.0223 -4.1667
Al Cr Fe O
2 2 2 8
Direct
0.5000 0.0000 0.0000
0.5000 0.5000 0.5000
0.0000 0.0000 0.0000
0.5000 0.0000 0.5000
0.1169 0.3669 0.7500
0.8831 0.6331 0.2500
0.2705 0.2481 0.4776
0.2705 0.7928 0.0224
0.2796 0.2429 0.0367
0.2937 0.7571 0.5367
0.7063 0.2429 0.4633
0.7204 0.7571 0.9633
0.7295 0.2072 0.9776
0.7295 0.7519 0.5224
```

=====

(2)
Structure and calculated XRD peak list of Sr2AlCr2GaO7 (a cell relaxed with GGA+U; Cu Kα (λ = 1.5418 Å)).
Lines closer than 0.1° are merged.

Top 10 peaks for 5° ≤ 2θ ≤ 70°, in order of falling intensity:
2theta, I_rel
32.7, 100.0
31.7, 83.6
32.0, 72.9
30.6, 72.3
45.4, 64.5
40.8, 63.8
28.6, 48.5
28.4, 45.6
34.1, 34.2
30.8, 29.6

Structural model:
```
Sr2AlCr2GaO7
1.0
5.4701 0.0000 0.0000
0.0076 5.8785 0.0000
2.6199 1.8118 11.0561
Sr Al Cr Ga O
4 2 4 2 14
Direct
0.0000 0.0000 0.0000
0.1701 0.1229 0.5992
0.4978 0.4420 0.9950
0.6828 0.5678 0.6014
0.3097 0.3806 0.2948
0.8490 0.8530 0.3040
0.2547 0.6607 0.4487
0.3997 0.9119 0.1825
0.7485 0.1583 0.4434
0.8872 0.4100 0.1812
0.1112 0.6053 0.8025
0.6124 0.9619 0.8020
0.0066 0.4348 0.4051
0.0341 0.9304 0.4125
0.0618 0.7278 0.1889
0.1162 0.5203 0.6538
0.2210 0.2314 0.1866
0.4550 0.3552 0.4233
0.4574 0.6717 0.7988
0.4830 0.0396 0.9527
0.5499 0.5835 0.1901
0.5739 0.8418 0.4321
0.6221 0.1412 0.6534
0.7258 0.0755 0.1998
0.9569 0.8958 0.8017
0.9841 0.4288 0.9523
```

=====

(3)
Structure and calculated XRD peak list of NaAlCr2H2O8 (a cell relaxed with GGA+U; Cu Kα (λ = 1.5418 Å)).
Lines closer than 0.1° are merged.

Top 10 peaks for 5° ≤ 2θ ≤ 70°, in order of falling intensity:
2theta, I_rel
17.2, 100.0
25.3, 75.7
30.0, 41.0
31.4, 39.7
17.6, 37.1
33.5, 22.5
32.4, 20.7
29.6, 20.6
18.8, 15.5
48.2, 15.1

Structural model:
```
NaAlCr2H2O8
1.0
7.0436 -2.6736 0.0000
7.0436 2.6736 0.0000
-4.0330 0.0000 10.2972
Na Al Cr H O
2 2 4 4 16
Direct
0.2156 0.7844 0.7500
0.7844 0.2156 0.2500
0.0000 0.5000 0.5000
0.5000 0.0000 0.0000
0.1598 0.6388 0.0368
0.3612 0.8402 0.4632
0.6388 0.1598 0.5368
0.8402 0.3612 0.9632
0.0152 0.5497 0.3383
0.4503 0.9848 0.1617
0.5497 0.0152 0.8383
0.9848 0.4503 0.6617
0.1470 0.6240 0.8848
0.1532 0.1767 0.9307
0.1767 0.1532 0.4307
0.2099 0.7529 0.3735
0.2471 0.7901 0.1265
0.3161 0.3992 0.5777
0.3760 0.8530 0.6152
0.3992 0.3161 0.0777
0.6008 0.6839 0.9223
0.6240 0.1470 0.3848
0.6839 0.6008 0.4223
0.7529 0.2099 0.8735
0.7901 0.2471 0.6265
0.8233 0.8468 0.5693
0.8468 0.8233 0.0693
0.8530 0.3760 0.1152
```